For Th3ZnCo2Ge6, a crystal structure in Alexandria, relaxed with PBE gives the computed X-ray diffraction stick pattern in this record (a wavelength of 1.5418 Å).
Neutral-atom scattering factors, no anomalous dispersion.

Cell and atoms:
Cell lengths 6.1251, 6.1251, 7.6975 Å; angles 90.00, 90.00, 120.00 degrees
Space group P-3m1 (No. 164)
Symmetry-distinct sites (fractional):
Th (0.0000, 0.0000, 0.0000) (multiplicity 1)
Th (0.3333, 0.6667, 0.6589) (multiplicity 2)
Zn (0.0000, 0.0000, 0.5000) (multiplicity 1)
Co (0.3333, 0.6667, 0.0346) (multiplicity 2)
Ge (0.1915, 0.3831, 0.2863) (multiplicity 6)

Main lines, in order of falling intensity (10° ≤ 2θ ≤ 80°):
2θ = 35.81°, intensity 100, hkl 0 2 1
2θ = 29.16°, intensity 99, hkl 1 1 0
2θ = 41.34°, intensity 80, hkl 2 0 2
2θ = 28.66°, intensity 78, hkl 0 1 2
2θ = 20.33°, intensity 49, hkl 1 0 1
2θ = 46.15°, intensity 39, hkl 1 1 3
2θ = 34.97°, intensity 35, hkl 0 0 3
2θ = 60.46°, intensity 32, hkl 2 2 0
2θ = 51.39°, intensity 25, hkl 1 2 2
2θ = 71.79°, intensity 22, hkl 2 2 3
2θ = 67.46°, intensity 21, hkl 2 1 4
2θ = 46.82°, intensity 20, hkl 2 1 1

***

For H8PtN2Cl2O2, a crystal structure in Alexandria, relaxed with PBE gives the computed X-ray diffraction stick pattern in this record (a wavelength of 1.5418 Å).
Neutral-atom scattering factors, no anomalous dispersion.

Cell and atoms:
Cell lengths 6.224, 7.037, 8.131 Å; angles 90.00, 105.04, 90.00 degrees
Space group P2_1/c (No. 14)
Symmetry-distinct sites (fractional):
H (0.102, 0.161, 0.414) (multiplicity 4)
H (0.130, 0.161, 0.626) (multiplicity 4)
H (0.194, 0.609, 0.284) (multiplicity 4)
H (0.328, 0.240, 0.047) (multiplicity 4)
Pt (0.000, 0.000, 0.000) (multiplicity 2)
N (0.160, 0.240, 0.526) (multiplicity 4)
Cl (0.339, 0.648, 0.626) (multiplicity 4)
O (0.063, 0.527, 0.266) (multiplicity 4)

Main lines, in order of falling intensity (10° ≤ 2θ ≤ 80°):
2θ = 16.92°, intensity 100, hkl 0 1 1
2θ = 14.74°, intensity 58, hkl 1 0 0
2θ = 20.46°, intensity 44, hkl 1 1 -1
2θ = 23.63°, intensity 27, hkl 1 0 -2
2θ = 29.41°, intensity 25, hkl 1 2 0
2θ = 24.39°, intensity 23, hkl 1 1 1
2θ = 36.02°, intensity 17, hkl 1 1 -3
2θ = 22.65°, intensity 17, hkl 0 0 2
2θ = 36.97°, intensity 16, hkl 2 1 1
2θ = 39.43°, intensity 13, hkl 2 2 0
2θ = 44.05°, intensity 13, hkl 1 3 1
2θ = 25.31°, intensity 11, hkl 0 2 0

***

For CrBiRu, a crystal structure in Alexandria, relaxed with PBE gives the computed X-ray diffraction stick pattern in this record (a wavelength of 1.5418 Å).
Neutral-atom scattering factors, no anomalous dispersion.

Cell and atoms:
Cell lengths 3.004, 4.112, 10.002 Å; angles 88.51, 81.73, 90.00 degrees
Space group P-1 (No. 2)
Symmetry-distinct sites (fractional):
Cr (0.034, 0.216, 0.430) (multiplicity 2)
Bi (0.342, 0.762, 0.831) (multiplicity 2)
Ru (0.438, 0.269, 0.630) (multiplicity 2)

Main lines, in order of falling intensity (10° ≤ 2θ ≤ 80°):
2θ = 44.02°, intensity 100, hkl 0 2 0
2θ = 27.85°, intensity 81, hkl 0 1 2
2θ = 28.59°, intensity 76, hkl 0 1 -2
2θ = 30.08°, intensity 51, hkl 1 0 0
2θ = 43.35°, intensity 45, hkl -1 1 2
2θ = 32.84°, intensity 44, hkl 1 0 2
2θ = 44.20°, intensity 44, hkl 1 -1 3
2θ = 32.67°, intensity 43, hkl 1 0 -1
2θ = 43.56°, intensity 41, hkl 1 1 3
2θ = 23.65°, intensity 38, hkl 0 1 -1
2θ = 23.21°, intensity 33, hkl 0 1 1
2θ = 36.32°, intensity 31, hkl 0 0 4

***

For Ca4Tl2Pb3, a crystal structure in Alexandria, relaxed with PBE gives the computed X-ray diffraction stick pattern in this record (a wavelength of 1.5418 Å).
Neutral-atom scattering factors, no anomalous dispersion.

Cell and atoms:
Cell lengths 9.536, 5.504, 10.507 Å; angles 90.00, 90.11, 90.00 degrees
Space group C2/m (No. 12)
Symmetry-distinct sites (fractional):
Ca (0.001, 0.000, 0.322) (multiplicity 4)
Ca (0.166, 0.500, 0.894) (multiplicity 4)
Tl (0.167, 0.500, 0.234) (multiplicity 4)
Pb (0.000, 0.000, 0.000) (multiplicity 2)
Pb (0.166, 0.500, 0.562) (multiplicity 4)

Main lines, in order of falling intensity (10° ≤ 2θ ≤ 80°):
2θ = 31.70°, intensity 100, hkl 2 0 3
2θ = 32.53°, intensity 91, hkl 3 1 0
2θ = 20.46°, intensity 47, hkl 1 1 1
2θ = 57.52°, intensity 37, hkl 5 1 3
2θ = 46.06°, intensity 36, hkl 2 2 3
2θ = 25.23°, intensity 23, hkl 2 0 -2
2θ = 55.94°, intensity 18, hkl 1 1 6
2θ = 58.04°, intensity 18, hkl 6 0 0
2θ = 68.14°, intensity 11, hkl 6 2 0
2θ = 47.87°, intensity 11, hkl 3 1 4
2θ = 77.08°, intensity 11, hkl 2 4 3
2θ = 38.74°, intensity 10, hkl 4 0 1